No. 1
The following is a theoretical powder X-ray diffraction pattern of Rb2PrO3. It was derived from the GGA-PBE geometry in the Materials Project, using Cu Kα, 1.54184 Å.
No peak broadening, texture or thermal motion is included.

Cell: 6.576 11.336 7.535 Å, 90.00 90.00 90.00°
Fractional positions:
Rb: 0.231 0.085 0.113
Rb: 0.231 0.415 0.113
Rb: 0.269 0.585 0.613
Rb: 0.269 0.915 0.613
Rb: 0.731 0.085 0.387
Rb: 0.731 0.415 0.387
Rb: 0.769 0.585 0.887
Rb: 0.769 0.915 0.887
Pr: 0.236 0.750 0.149
Pr: 0.264 0.250 0.649
Pr: 0.736 0.750 0.351
Pr: 0.764 0.250 0.851
O: 0.000 0.117 0.725
O: 0.000 0.383 0.725
O: 0.000 0.617 0.275
O: 0.000 0.883 0.275
O: 0.143 0.750 0.867
O: 0.357 0.250 0.367
O: 0.500 0.117 0.775
O: 0.500 0.383 0.775
O: 0.500 0.617 0.225
O: 0.500 0.883 0.225
O: 0.643 0.750 0.633
O: 0.857 0.250 0.133

Largest 6 diffraction maxima, sorted by position, 10° ≤ 2θ ≤ 80°:
2θ 26.4, d = 3.378 Å, I 44.4; 2θ 27.1, d = 3.288 Å, I 45.9; 2θ 27.3, d = 3.269 Å, I 100.0; 2θ 29.7, d = 3.005 Å, I 95.3; 2θ 38.2, d = 2.356 Å, I 57.4; 2θ 56.2, d = 1.637 Å, I 40.5

***

No. 2
The following is a theoretical powder X-ray diffraction pattern of Ba2CaN2. It was derived from the GGA-PBE geometry in the Materials Project, using Cu Kα, 1.54184 Å.
No peak broadening, texture or thermal motion is included.

Cell: 3.836 3.836 10.321 Å, 90.00 90.00 120.00°
Fractional positions:
Ba: 0.333 0.667 0.279
Ba: 0.667 0.333 0.721
Ca: 0.000 0.000 0.000
N: 0.333 0.667 0.851
N: 0.667 0.333 0.149

Largest 6 diffraction maxima, sorted by position, 10° ≤ 2θ ≤ 80°:
2θ 17.2, d = 5.160 Å, I 54.4; 2θ 28.2, d = 3.162 Å, I 100.0; 2θ 32.0, d = 2.793 Å, I 63.4; 2θ 37.6, d = 2.390 Å, I 42.1; 2θ 47.4, d = 1.918 Å, I 28.3; 2θ 50.8, d = 1.798 Å, I 19.3

***

No. 3
The following is a theoretical powder X-ray diffraction pattern of Na3ThP3O11. It was derived from the GGA-PBE geometry in the Materials Project, using Cu Kα, 1.54184 Å.
No peak broadening, texture or thermal motion is included.

Cell: 6.534 8.821 9.021 Å, 109.81 93.28 103.66°
Fractional positions:
Na: 0.100 0.322 0.438
Na: 0.138 0.509 0.864
Na: 0.205 0.914 0.965
Na: 0.795 0.086 0.035
Na: 0.862 0.491 0.136
Na: 0.900 0.678 0.562
Th: 0.426 0.167 0.709
Th: 0.574 0.833 0.291
P: 0.092 0.880 0.299
P: 0.353 0.361 0.127
P: 0.408 0.727 0.641
P: 0.592 0.273 0.359
P: 0.647 0.639 0.873
P: 0.908 0.120 0.701
O: 0.006 0.001 0.754
O: 0.096 0.243 0.665
O: 0.119 0.352 0.103
O: 0.203 0.606 0.647
O: 0.208 0.777 0.170
O: 0.270 0.968 0.448
O: 0.387 0.316 0.287
O: 0.417 0.223 0.994
O: 0.421 0.909 0.748
O: 0.453 0.707 0.472
O: 0.493 0.466 0.838
O: 0.507 0.534 0.162
O: 0.547 0.293 0.528
O: 0.579 0.091 0.252
O: 0.583 0.777 0.006
O: 0.613 0.684 0.713
O: 0.730 0.032 0.552
O: 0.792 0.223 0.830
O: 0.797 0.394 0.353
O: 0.881 0.648 0.897
O: 0.904 0.757 0.335
O: 0.994 0.999 0.246

Largest 6 diffraction maxima, sorted by position, 10° ≤ 2θ ≤ 80°:
2θ 12.2, d = 7.247 Å, I 100.0; 2θ 14.1, d = 6.277 Å, I 79.6; 2θ 20.9, d = 4.255 Å, I 33.0; 2θ 21.2, d = 4.196 Å, I 38.1; 2θ 28.0, d = 3.185 Å, I 47.4; 2θ 29.7, d = 3.006 Å, I 72.7

***

No. 4
The following is a theoretical powder X-ray diffraction pattern of SiSbPt5. It was derived from the GGA-PBE geometry in the Materials Project, using Cu Kα, 1.54184 Å.
No peak broadening, texture or thermal motion is included.

Cell: 3.964 3.964 7.659 Å, 90.00 90.00 90.00°
Fractional positions:
Si: 0.000 0.000 0.000
Sb: 0.500 0.500 0.500
Pt: 0.000 0.500 0.249
Pt: 0.000 0.500 0.751
Pt: 0.500 0.000 0.249
Pt: 0.500 0.000 0.751
Pt: 0.500 0.500 0.000

Largest 6 diffraction maxima, sorted by position, 10° ≤ 2θ ≤ 80°:
2θ 22.4, d = 3.963 Å, I 14.3; 2θ 23.2, d = 3.829 Å, I 14.6; 2θ 39.9, d = 2.262 Å, I 100.0; 2θ 45.8, d = 1.982 Å, I 33.8; 2θ 47.5, d = 1.915 Å, I 15.2; 2θ 68.1, d = 1.377 Å, I 21.1

***

No. 5
The following is a theoretical powder X-ray diffraction pattern of PO4. It was derived from the GGA-PBE geometry in the Materials Project, using Cu Kα, 1.54184 Å.
No peak broadening, texture or thermal motion is included.

Cell: 6.196 5.096 12.076 Å, 90.00 94.97 90.00°
Fractional positions:
P: 0.206 0.196 0.135
P: 0.206 0.304 0.635
P: 0.794 0.696 0.365
P: 0.794 0.804 0.865
O: 0.043 0.686 0.377
O: 0.043 0.814 0.877
O: 0.277 0.145 0.536
O: 0.277 0.355 0.036
O: 0.281 0.174 0.747
O: 0.281 0.326 0.247
O: 0.304 0.581 0.633
O: 0.304 0.919 0.133
O: 0.696 0.081 0.867
O: 0.696 0.419 0.367
O: 0.719 0.674 0.753
O: 0.719 0.826 0.253
O: 0.723 0.645 0.964
O: 0.723 0.855 0.464
O: 0.957 0.186 0.123
O: 0.957 0.314 0.623

Largest 6 diffraction maxima, sorted by position, 10° ≤ 2θ ≤ 80°:
2θ 19.7, d = 4.508 Å, I 90.4; 2θ 21.5, d = 4.133 Å, I 68.6; 2θ 22.6, d = 3.929 Å, I 100.0; 2θ 22.9, d = 3.888 Å, I 91.3; 2θ 26.4, d = 3.376 Å, I 30.7; 2θ 28.9, d = 3.086 Å, I 41.6

***

No. 6
The following is a theoretical powder X-ray diffraction pattern of Cu2PPd2. It was derived from the GGA-PBE geometry in the Materials Project, using Cu Kα, 1.54184 Å.
No peak broadening, texture or thermal motion is included.

Cell: 5.043 5.043 5.490 Å, 90.00 90.00 91.88°
Fractional positions:
Cu: 0.144 0.767 0.000
Cu: 0.233 0.856 0.500
Cu: 0.767 0.144 0.500
Cu: 0.856 0.233 0.000
P: 0.000 0.500 0.329
P: 0.500 0.000 0.829
Pd: 0.249 0.355 0.677
Pd: 0.355 0.249 0.177
Pd: 0.645 0.751 0.177
Pd: 0.751 0.645 0.677

Largest 6 diffraction maxima, sorted by position, 10° ≤ 2θ ≤ 80°:
2θ 35.6, d = 2.520 Å, I 77.4; 2θ 39.3, d = 2.290 Å, I 42.8; 2θ 40.5, d = 2.225 Å, I 62.9; 2θ 41.3, d = 2.188 Å, I 86.4; 2θ 41.8, d = 2.162 Å, I 95.9; 2θ 42.9, d = 2.109 Å, I 100.0